Theoretical powder X-ray diffraction pattern
Compound: K2RbLuV2O8
Radiation: Cu Kα X-rays
Structure: a cell relaxed with GGA+U

Atomic structure:
Lattice parameters (Å, degrees): 5.959 5.959 7.749 90.00 90.00 120.00
Positions (direct):
K (0.333, 0.667, 0.196)
K (0.667, 0.333, 0.804)
Rb (0.000, 0.000, 0.500)
Lu (0.000, 0.000, 0.000)
V (0.333, 0.667, 0.754)
V (0.667, 0.333, 0.246)
O (0.173, 0.346, 0.832)
O (0.173, 0.827, 0.832)
O (0.333, 0.667, 0.536)
O (0.346, 0.173, 0.168)
O (0.654, 0.827, 0.832)
O (0.667, 0.333, 0.464)
O (0.827, 0.173, 0.168)
O (0.827, 0.654, 0.168)

Most intense lines, 10 to 90 degrees two-theta, in order of rising 2θ:
- (1 0 0), 5.160 Å, intensity 42
- (1 0 1), 4.295 Å, intensity 27
- (0 1 2), 3.098 Å, intensity 100
- (1 1 0), 2.979 Å, intensity 86
- (2 0 2), 2.148 Å, intensity 47
- (1 2 2), 1.742 Å, intensity 36